This entry pairs a crystal structure of Nd10Sn3Pb3 with its theoretical X-ray powder pattern. Radiation: Cu Kα, 1.54184 Å. Structure: a PBE-relaxed structure.
Kinematic intensities with the Lorentz-polarization factor, no thermal factor.

Top 10 peaks for 10° ≤ 2θ ≤ 80°, by angle:
25.95 deg, rel. 22; 29.17 deg, rel. 27; 32.00 deg, rel. 100; 32.34 deg, rel. 77; 33.18 deg, rel. 41; 42.33 deg, rel. 16; 47.01 deg, rel. 17; 49.73 deg, rel. 29; 63.49 deg, rel. 20; 64.29 deg, rel. 12

Structure:
```
16
Lattice="9.3539 0.0000 0.0000 -4.6770 8.1007 0.0000 0.0000 0.0000 6.8676" Properties=species:S:1:pos:R:3 pbc="T T T"
Nd -1.1246 1.9479 0.0000
Nd -3.5501 6.1490 3.4338
Nd 2.2492 0.0000 0.0000
Nd 1.1268 1.9517 3.4338
Nd 0.0000 5.4005 1.6921
Nd 0.0000 5.4005 5.1755
Nd 4.6770 2.7002 1.6921
Nd 4.6770 2.7002 5.1755
Nd 7.1003 0.0000 3.4338
Nd 3.5523 6.1528 0.0000
Sn -2.8361 4.9123 0.0000
Sn 1.8408 3.1884 0.0000
Sn 5.6723 0.0000 0.0000
Pb -1.8444 3.1947 3.4338
Pb 3.6889 0.0000 3.4338
Pb 2.8325 4.9061 3.4338
```